For Lu3Mg2CrS8, a GGA-PBE-relaxed structure gives the computed powder XRD pattern in this record (λ = 1.5418 Å (Cu Kα)).

Top 6 peaks for 2θ = 10–90°, by intensity:
- hkl 0 2 4, 2θ 33.17, d 2.700, rel. 100
- hkl 0 0 3, 2θ 14.35, d 6.173, rel. 69
- hkl 0 2 1, 2θ 27.25, d 3.272, rel. 69
- hkl 1 0 1, 2θ 14.15, d 6.258, rel. 62
- hkl 2 2 0, 2θ 47.36, d 1.920, rel. 45
- hkl 2 0 8, 2θ 47.88, d 1.900, rel. 43

a = 7.6782 Å, b = 7.6782 Å, c = 18.5178 Å
α = 90.00°, β = 90.00°, γ = 120.00°
Space group R-3m (No. 166, hexagonal axes)
Symmetry-distinct sites (fractional):
Lu: 0.0000 0.5000 0.0000 x9
Mg: 0.0000 0.0000 0.1251 x6
Cr: 0.0000 0.0000 0.5000 x3
S: 0.0000 0.0000 0.2560 x6
S: 0.0283 0.5142 0.2455 x18